Theoretical powder XRD pattern of Tb2InGa3Rh4 for Cu Kα, from a GGA-PBE-relaxed structure.
Neutral-atom scattering factors, no anomalous dispersion.

Crystal structure
```
10
Lattice="4.2333 0.0000 0.0000 0.0000 4.2333 0.0000 0.0000 0.0000 10.5585" Properties=species:S:1:pos:R:3 pbc="T T T"
Tb 0.0000 2.1167 2.4310
Tb 2.1167 0.0000 8.1276
In 0.0000 0.0000 5.2793
Ga 0.0000 2.1167 9.2704
Ga 2.1167 0.0000 1.2881
Ga 2.1167 2.1167 5.2793
Rh 0.0000 0.0000 0.0000
Rh 0.0000 2.1167 6.8408
Rh 2.1167 0.0000 3.7177
Rh 2.1167 2.1167 0.0000
```

The 12 most intense peaks (10° ≤ 2θ ≤ 90°), low angle first:
2θ (°)	intensity
29.85	9
33.10	44
34.44	100
40.26	9
42.72	54
45.83	15
48.15	21
55.08	20
62.01	18
66.31	16
72.90	22
87.00	8

Theoretical powder XRD pattern of Pm3Zn9Ru2 for Cu Kα, from a GGA-PBE-relaxed structure.
Neutral-atom scattering factors, no anomalous dispersion.

Crystal structure
```
14
Lattice="-2.1915 4.6514 6.3301 2.1915 -4.6514 6.3301 2.1915 4.6514 -6.3301" Properties=species:S:1:pos:R:3 pbc="T T T"
Pm 0.0000 0.0000 0.0000
Pm 0.0000 0.0000 3.8809
Pm 0.0000 0.0000 8.7792
Zn 2.1915 -1.3248 2.0053
Zn 2.1915 -2.0514 4.7726
Zn 2.1915 1.3248 2.0053
Zn 0.0000 2.6000 1.5574
Zn 0.0000 4.6514 0.0000
Zn 2.1915 2.0514 4.7726
Zn 0.0000 3.3266 4.3247
Zn 0.0000 6.7029 1.5574
Zn 0.0000 5.9762 4.3247
Ru 2.1915 2.9837 0.0000
Ru 0.0000 1.6678 6.3301
```

The 12 most intense peaks (10° ≤ 2θ ≤ 90°), low angle first:
2θ (°)	intensity
22.42	15
29.38	20
34.27	20
35.27	100
35.46	31
35.94	42
36.32	25
38.29	30
41.19	71
42.86	19
44.69	20
55.80	23

Theoretical powder XRD pattern of PmDyEr2Se6 for Cu Kα, from a GGA-PBE-relaxed structure.
Neutral-atom scattering factors, no anomalous dispersion.

Crystal structure
```
10
Lattice="3.6152 2.0872 6.4765 -3.6152 2.0872 6.4765 0.0000 -4.1744 6.4765" Properties=species:S:1:pos:R:3 pbc="T T T"
Pm 0.0000 0.0000 0.0000
Dy 0.0000 0.0000 9.6459
Er 0.0000 0.0000 5.8239
Er 0.0000 0.0000 15.5817
Se -2.1708 -0.1110 7.7118
Se -1.3945 -2.1295 10.9383
Se 1.1815 -1.8245 7.7118
Se -1.1470 2.2725 10.9383
Se 0.9893 1.9355 7.7118
Se 2.5415 -0.1429 10.9383
```

The 12 most intense peaks (10° ≤ 2θ ≤ 90°), low angle first:
2θ (°)	intensity
16.85	43
23.18	59
24.63	42
28.27	58
34.07	39
37.28	100
42.49	35
43.35	63
49.12	31
58.48	25
61.78	14
75.52	22